1.
Diffraction record for U2CuGe2O18. The X-ray powder pattern is simulated, not measured: it uses DFT lattice parameters and positions (PBE) and Cu Kα.
No peak broadening, texture or thermal motion is included.

Cell and atoms:
```
data_U2CuGe2O18
_cell_length_a 15.0959
_cell_length_b 7.1602
_cell_length_c 7.1257
_cell_angle_alpha 90.00
_cell_angle_beta 114.62
_cell_angle_gamma 90.00
_space_group_name_H-M_alt 'C 1 2/m 1'
_space_group_IT_number 12
_space_group_name_Hall '-C 2y'
loop_
_atom_site_label
_atom_site_fract_x
_atom_site_fract_y
_atom_site_fract_z
U1 0.2485 0.0000 0.1343
Cu1 0.0000 0.5000 0.5000
Ge1 0.2038 0.0000 0.6339
O1 0.0000 0.1691 0.5000
O2 0.0000 0.4150 0.0000
O3 0.0602 0.0000 0.4487
O4 0.0769 0.5000 0.3742
O5 0.1132 0.5000 0.7539
O6 0.1175 0.0000 0.0034
O7 0.2356 0.1825 0.8130
O8 0.2372 0.0000 0.4297
```

Peak list (6 most intense, 15° ≤ 2θ ≤ 90°, in order of rising 2θ)
| 2θ (°) | intensity |
| --- | --- |
| 24.87 | 100 |
| 25.97 | 63 |
| 28.11 | 45 |
| 28.42 | 68 |
| 29.13 | 70 |
| 33.39 | 48 |

2.
Diffraction record for Ba2MnN2. The X-ray powder pattern is simulated, not measured: it uses DFT lattice parameters and positions (PBE) and Cu Kα.
No peak broadening, texture or thermal motion is included.

Cell and atoms:
```
data_Ba2MnN2
_cell_length_a 4.1285
_cell_length_b 4.1479
_cell_length_c 13.1422
_cell_angle_alpha 90.00
_cell_angle_beta 90.00
_cell_angle_gamma 90.00
_space_group_name_H-M_alt 'I m m m'
_space_group_IT_number 71
_space_group_name_Hall '-I 2 2'
loop_
_atom_site_label
_atom_site_fract_x
_atom_site_fract_y
_atom_site_fract_z
Ba1 0.0000 0.0000 0.1413
Mn1 0.0000 0.0000 0.5000
N1 0.0000 0.0000 0.3683
```

Peak list (6 most intense, 15° ≤ 2θ ≤ 90°, in order of rising 2θ)
| 2θ (°) | intensity |
| --- | --- |
| 22.53 | 21 |
| 27.14 | 20 |
| 29.70 | 100 |
| 30.55 | 79 |
| 41.32 | 25 |
| 53.70 | 19 |

3.
Diffraction record for FeB4. The X-ray powder pattern is simulated, not measured: it uses DFT lattice parameters and positions (PBE) and Cu Kα.
No peak broadening, texture or thermal motion is included.

Cell and atoms:
```
data_FeB4
_cell_length_a 4.5205
_cell_length_b 5.2899
_cell_length_c 3.0045
_cell_angle_alpha 90.00
_cell_angle_beta 90.00
_cell_angle_gamma 90.00
_space_group_name_H-M_alt 'P n n m'
_space_group_IT_number 58
_space_group_name_Hall '-P 2 2n'
loop_
_atom_site_label
_atom_site_fract_x
_atom_site_fract_y
_atom_site_fract_z
Fe1 0.0000 0.0000 0.0000
B1 0.1602 0.3738 0.0000
B2 0.2492 0.6876 0.0000
```

Peak list (6 most intense, 15° ≤ 2θ ≤ 90°, in order of rising 2θ)
| 2θ (°) | intensity |
| --- | --- |
| 25.93 | 100 |
| 34.33 | 30 |
| 35.89 | 69 |
| 50.19 | 38 |
| 53.31 | 21 |
| 53.62 | 41 |

4.
Diffraction record for CsBeF3. The X-ray powder pattern is simulated, not measured: it uses DFT lattice parameters and positions (PBE) and Cu Kα.
No peak broadening, texture or thermal motion is included.

Cell and atoms:
```
data_CsBeF3
_cell_length_a 4.8891
_cell_length_b 6.1302
_cell_length_c 12.9769
_cell_angle_alpha 90.00
_cell_angle_beta 90.00
_cell_angle_gamma 90.00
_space_group_name_H-M_alt 'P n m a'
_space_group_IT_number 62
_space_group_name_Hall '-P 2ac 2n'
loop_
_atom_site_label
_atom_site_fract_x
_atom_site_fract_y
_atom_site_fract_z
Cs1 0.2383 0.2500 0.1007
Be1 0.1925 0.7500 0.3205
F1 0.1236 0.2500 0.7178
F2 0.2417 0.5405 0.3821
```

Peak list (6 most intense, 15° ≤ 2θ ≤ 90°, in order of rising 2θ)
| 2θ (°) | intensity |
| --- | --- |
| 22.77 | 32 |
| 24.27 | 100 |
| 25.20 | 65 |
| 27.49 | 26 |
| 37.30 | 64 |
| 42.08 | 38 |